# Mn2PO4
Simulated powder XRD pattern, Cu Kα X-rays. Input: a DFT-relaxed cell (PBE+U, Alexandria).
Kinematic intensities with the Lorentz-polarization factor, no thermal factor.

Cell and atoms:
```
data_Mn2PO4
_chemical_formula_sum 'Mn4 P2 O8'
_symmetry_space_group_name_H-M 'I -4 2 m'
_symmetry_Int_Tables_number 121
_symmetry_space_group_name_Hall 'I -4 2'
_cell_length_a 5.577
_cell_length_b 5.577
_cell_length_c 6.184
_cell_angle_alpha 90.00
_cell_angle_beta 90.00
_cell_angle_gamma 90.00
loop_
_atom_site_label
_atom_site_type_symbol
_atom_site_fract_x
_atom_site_fract_y
_atom_site_fract_z
Mn1 Mn 0.000 0.500 0.250
P1 P 0.000 0.000 0.000
O1 O 0.163 0.163 0.856
```

Peak list (6 most intense, 10 to 80 degrees two-theta, most intense first)
2θ/deg	I_rel	index
36.94	100	1 1 2
21.46	61	1 0 1
60.43	44	3 1 2
32.10	44	2 0 0
22.55	33	1 1 0
46.03	29	2 2 0